Entry 1:
Structure and simulated powder X-ray diffraction pattern of CeTaNi10 (a crystal structure in Alexandria, relaxed with PBE; Cu Ka).

Principal peaks in the range 2θ = 5–70°, low angle first:
2θ 31.2, d = 2.863 Å, I 796; 2θ 37.7, d = 2.383 Å, I 308; 2θ 37.9, d = 2.376 Å, I 159; 2θ 43.8, d = 2.066 Å, I 177; 2θ 44.0, d = 2.060 Å, I 335; 2θ 44.3, d = 2.044 Å, I 1000; 2θ 44.4, d = 2.040 Å, I 499; 2θ 45.6, d = 1.989 Å, I 431; 2θ 60.7, d = 1.526 Å, I 235; 2θ 65.2, d = 1.431 Å, I 199

Cell and atoms:
Lattice parameters (Å, degrees): 3.977 4.753 8.264 90.00 90.00 90.00
Space group Pmmm (No. 47)
Inequivalent atoms, fractional coordinates:
Ce: 0.000 0.000 0.000 [1 per cell]
Ta: 0.000 0.500 0.500 [1 per cell]
Ni: 0.000 0.000 0.342 [2 per cell]
Ni: 0.000 0.500 0.180 [2 per cell]
Ni: 0.500 0.000 0.500 [1 per cell]
Ni: 0.500 0.257 0.262 [4 per cell]
Ni: 0.500 0.500 0.000 [1 per cell]

---

Entry 2:
Structure and simulated powder X-ray diffraction pattern of Ba2ZnSbP (a crystal structure in Alexandria, relaxed with PBE; Cu Ka).

Principal peaks in the range 2θ = 5–70°, low angle first:
2θ 23.7, d = 3.755 Å, I 495; 2θ 25.5, d = 3.499 Å, I 486; 2θ 26.8, d = 3.329 Å, I 852; 2θ 27.0, d = 3.304 Å, I 1000; 2θ 27.9, d = 3.194 Å, I 463; 2θ 31.6, d = 2.836 Å, I 374; 2θ 32.1, d = 2.791 Å, I 438; 2θ 34.1, d = 2.627 Å, I 356; 2θ 35.8, d = 2.507 Å, I 475; 2θ 38.9, d = 2.313 Å, I 525

Cell and atoms:
Lattice parameters (Å, degrees): 7.861 4.627 10.031 90.00 107.15 90.00
Space group P2_1/m (No. 11)
Inequivalent atoms, fractional coordinates:
Ba: 0.195 0.250 0.395 [2 per cell]
Ba: 0.230 0.250 0.967 [2 per cell]
Zn: 0.482 0.750 0.260 [2 per cell]
Sb: 0.324 0.750 0.697 [2 per cell]
P: 0.177 0.750 0.174 [2 per cell]

---

Entry 3:
Structure and simulated powder X-ray diffraction pattern of CsNaAg (a crystal structure in Alexandria, relaxed with PBE; Cu Ka).

Principal peaks in the range 2θ = 5–70°, low angle first:
2θ 19.1, d = 4.639 Å, I 204; 2θ 25.2, d = 3.536 Å, I 1000; 2θ 32.8, d = 2.730 Å, I 132; 2θ 33.5, d = 2.679 Å, I 376; 2θ 38.2, d = 2.353 Å, I 69; 2θ 42.3, d = 2.135 Å, I 244; 2θ 47.6, d = 1.912 Å, I 272; 2θ 54.1, d = 1.694 Å, I 116; 2θ 55.0, d = 1.670 Å, I 222; 2θ 69.9, d = 1.346 Å, I 83

Cell and atoms:
Lattice parameters (Å, degrees): 5.3570 5.3570 5.4607 90.00 90.00 120.00
Space group P-6m2 (No. 187)
Inequivalent atoms, fractional coordinates:
Cs: 0.0000 0.0000 0.0000 [1 per cell]
Na: 0.6667 0.3333 0.5000 [1 per cell]
Ag: 0.3333 0.6667 0.5000 [1 per cell]

---

Entry 4:
Structure and simulated powder X-ray diffraction pattern of UCr4InS8 (a crystal structure in Alexandria, relaxed with PBE; Cu Ka).

Principal peaks in the range 2θ = 5–70°, low angle first:
2θ 15.7, d = 5.645 Å, I 431; 2θ 17.7, d = 5.020 Å, I 212; 2θ 26.1, d = 3.413 Å, I 516; 2θ 27.9, d = 3.197 Å, I 350; 2θ 29.7, d = 3.005 Å, I 1000; 2θ 35.8, d = 2.510 Å, I 374; 2θ 38.8, d = 2.322 Å, I 273; 2θ 48.4, d = 1.882 Å, I 308; 2θ 49.2, d = 1.852 Å, I 285; 2θ 53.7, d = 1.707 Å, I 301

Cell and atoms:
Lattice parameters (Å, degrees): 6.8262 6.8262 19.0049 90.00 90.00 120.00
Space group R3m (No. 160, hexagonal axes)
Inequivalent atoms, fractional coordinates:
U: 0.0000 0.0000 0.0000 [3 per cell]
Cr: 0.0000 0.0000 0.6267 [3 per cell]
Cr: 0.0567 0.5283 0.4956 [9 per cell]
In: 0.0000 0.0000 0.3495 [3 per cell]
S: 0.0000 0.0000 0.2144 [3 per cell]
S: 0.0000 0.0000 0.7466 [3 per cell]
S: 0.0101 0.5050 0.7659 [9 per cell]
S: 0.1698 0.3395 0.5711 [9 per cell]